Record 1
NbFe3P6O24: theoretical powder diffractogram (Cu Kα), based on a cell relaxed with PBE+U.

Cell and atoms:
Cell lengths 8.9743, 8.9743, 8.9743 Å; angles 58.55, 58.55, 58.55 degrees
Fractional coordinates of all 34 atoms:
Nb1 0.0000 0.0000 0.0000
Fe1 0.2832 0.2832 0.2832
Fe2 0.4984 0.4984 0.4984
Fe3 0.7836 0.7836 0.7836
P1 0.1063 0.6686 0.3981
P2 0.1759 0.6029 0.8903
P3 0.3981 0.1063 0.6686
P4 0.6029 0.8903 0.1759
P5 0.6686 0.3982 0.1063
P6 0.8903 0.1759 0.6029
O1 0.0053 0.6296 0.8657
O2 0.0598 0.2051 0.4265
O3 0.0728 0.8460 0.2236
O4 0.1342 0.5001 0.3697
O5 0.1380 0.7748 0.9247
O6 0.2051 0.4265 0.0598
O7 0.2236 0.0728 0.8460
O8 0.2768 0.6488 0.4164
O9 0.3503 0.5849 0.7177
O10 0.3697 0.1342 0.5001
O11 0.4164 0.2768 0.6489
O12 0.4265 0.0598 0.2051
O13 0.5001 0.3697 0.1342
O14 0.5681 0.9317 0.6953
O15 0.5849 0.7177 0.3503
O16 0.6296 0.8657 0.0053
O17 0.6489 0.4164 0.2768
O18 0.6953 0.5681 0.9317
O19 0.7177 0.3503 0.5849
O20 0.7748 0.9247 0.1380
O21 0.8460 0.2236 0.0728
O22 0.8657 0.0053 0.6296
O23 0.9247 0.1380 0.7748
O24 0.9317 0.6953 0.5681

Largest 10 diffraction maxima, sorted by position, 10° ≤ 2θ ≤ 80°:
| 2theta | I/Imax |
| --- | --- |
| 14.12 | 52.6 |
| 19.80 | 76.2 |
| 20.23 | 41.9 |
| 23.56 | 100.0 |
| 28.45 | 58.4 |
| 31.61 | 40.0 |
| 35.17 | 16.3 |
| 35.43 | 18.9 |
| 52.04 | 23.9 |
| 55.39 | 17.0 |

Record 2
Ti3NbFe2P6O24: theoretical powder diffractogram (Cu Kα), based on a cell relaxed with PBE+U.

Cell and atoms:
Cell lengths 8.6200, 8.6200, 8.6200 Å; angles 61.27, 61.27, 61.27 degrees
Fractional coordinates of all 36 atoms:
Ti1 0.0000 0.0000 0.0000
Ti2 0.2121 0.2121 0.2121
Ti3 0.7121 0.7121 0.7121
Nb1 0.4990 0.4990 0.4990
Fe1 0.3536 0.3536 0.3536
Fe2 0.8563 0.8563 0.8563
P1 0.1011 0.3995 0.8173
P2 0.3103 0.9043 0.6076
P3 0.3995 0.8173 0.1011
P4 0.6076 0.3103 0.9043
P5 0.8173 0.1011 0.3995
P6 0.9043 0.6076 0.3103
O1 0.0380 0.2414 0.8574
O2 0.0964 0.4479 0.2964
O3 0.1172 0.9172 0.7657
O4 0.1693 0.3588 0.9725
O5 0.2414 0.8574 0.0380
O6 0.2600 0.4135 0.6216
O7 0.2964 0.0964 0.4479
O8 0.3479 0.7477 0.5413
O9 0.3588 0.9725 0.1693
O10 0.4135 0.6216 0.2600
O11 0.4479 0.2964 0.0964
O12 0.4715 0.8579 0.6699
O13 0.5413 0.3479 0.7477
O14 0.5937 0.8008 0.9443
O15 0.6216 0.2600 0.4135
O16 0.6699 0.4715 0.8579
O17 0.7477 0.5413 0.3479
O18 0.7657 0.1172 0.9172
O19 0.8008 0.9443 0.5937
O20 0.8574 0.0380 0.2414
O21 0.8579 0.6699 0.4715
O22 0.9172 0.7657 0.1172
O23 0.9443 0.5936 0.8008
O24 0.9725 0.1693 0.3588

Largest 10 diffraction maxima, sorted by position, 10° ≤ 2θ ≤ 80°:
| 2theta | I/Imax |
| --- | --- |
| 20.22 | 85.1 |
| 23.95 | 100.0 |
| 24.91 | 16.2 |
| 31.40 | 16.3 |
| 32.80 | 70.9 |
| 35.39 | 38.4 |
| 46.98 | 31.3 |
| 49.03 | 26.5 |
| 55.33 | 24.8 |
| 61.91 | 19.0 |

Record 3
NbV2Fe3P6O24: theoretical powder diffractogram (Cu Kα), based on a cell relaxed with PBE+U.

Cell and atoms:
Cell lengths 8.6765, 8.6765, 8.6765 Å; angles 60.12, 60.12, 60.12 degrees
Fractional coordinates of all 36 atoms:
Nb1 0.0000 0.0000 0.0000
V1 0.3556 0.3556 0.3556
V2 0.8534 0.8534 0.8534
Fe1 0.2111 0.2111 0.2111
Fe2 0.5012 0.5012 0.5012
Fe3 0.7094 0.7094 0.7094
P1 0.1086 0.4067 0.8106
P2 0.3182 0.8990 0.6000
P3 0.4067 0.8106 0.1086
P4 0.6000 0.3182 0.8990
P5 0.8106 0.1086 0.4067
P6 0.8990 0.6000 0.3182
O1 0.0436 0.2406 0.8602
O2 0.0943 0.4428 0.2971
O3 0.1190 0.9178 0.7670
O4 0.1680 0.3612 0.9695
O5 0.2406 0.8602 0.0436
O6 0.2679 0.4123 0.6183
O7 0.2971 0.0943 0.4428
O8 0.3501 0.7413 0.5459
O9 0.3612 0.9695 0.1680
O10 0.4123 0.6183 0.2679
O11 0.4428 0.2971 0.0943
O12 0.4686 0.8600 0.6689
O13 0.5459 0.3501 0.7413
O14 0.5951 0.7960 0.9429
O15 0.6183 0.2679 0.4123
O16 0.6689 0.4686 0.8600
O17 0.7413 0.5459 0.3501
O18 0.7670 0.1190 0.9178
O19 0.7960 0.9429 0.5951
O20 0.8602 0.0436 0.2406
O21 0.8600 0.6689 0.4686
O22 0.9178 0.7670 0.1190
O23 0.9429 0.5951 0.7960
O24 0.9695 0.1680 0.3612

Largest 10 diffraction maxima, sorted by position, 10° ≤ 2θ ≤ 80°:
| 2theta | I/Imax |
| --- | --- |
| 20.44 | 100.0 |
| 24.03 | 85.2 |
| 29.08 | 14.6 |
| 31.73 | 13.9 |
| 32.63 | 67.8 |
| 35.79 | 41.9 |
| 46.80 | 26.1 |
| 49.20 | 26.7 |
| 56.00 | 36.7 |
| 62.33 | 21.0 |

Record 4
NbV3Fe2P6O24: theoretical powder diffractogram (Cu Kα), based on a cell relaxed with PBE+U.

Cell and atoms:
Cell lengths 8.6518, 8.6518, 8.6518 Å; angles 60.61, 60.61, 60.61 degrees
Fractional coordinates of all 36 atoms:
Nb1 0.0000 0.0000 0.0000
V1 0.2154 0.2154 0.2154
V2 0.4992 0.4992 0.4992
V3 0.7130 0.7130 0.7130
Fe1 0.3565 0.3565 0.3565
Fe2 0.8522 0.8522 0.8522
P1 0.1096 0.4055 0.8127
P2 0.3189 0.8994 0.6023
P3 0.4055 0.8127 0.1096
P4 0.6023 0.3189 0.8994
P5 0.8127 0.1096 0.4055
P6 0.8994 0.6023 0.3189
O1 0.0441 0.2406 0.8611
O2 0.0958 0.4471 0.2976
O3 0.1199 0.9190 0.7671
O4 0.1689 0.3623 0.9710
O5 0.2406 0.8611 0.0441
O6 0.2659 0.4125 0.6192
O7 0.2976 0.0958 0.4471
O8 0.3496 0.7423 0.5474
O9 0.3623 0.9710 0.1689
O10 0.4125 0.6192 0.2659
O11 0.4471 0.2976 0.0958
O12 0.4706 0.8620 0.6698
O13 0.5474 0.3496 0.7423
O14 0.5952 0.7974 0.9458
O15 0.6192 0.2659 0.4125
O16 0.6698 0.4706 0.8620
O17 0.7423 0.5474 0.3496
O18 0.7671 0.1199 0.9190
O19 0.7974 0.9458 0.5952
O20 0.8611 0.0441 0.2406
O21 0.8620 0.6698 0.4706
O22 0.9190 0.7671 0.1199
O23 0.9458 0.5952 0.7974
O24 0.9710 0.1689 0.3623

Largest 10 diffraction maxima, sorted by position, 10° ≤ 2θ ≤ 80°:
| 2theta | I/Imax |
| --- | --- |
| 20.34 | 88.9 |
| 23.99 | 100.0 |
| 31.59 | 16.2 |
| 32.70 | 69.5 |
| 35.62 | 38.5 |
| 46.88 | 32.4 |
| 49.13 | 26.2 |
| 55.72 | 27.8 |
| 56.03 | 15.8 |
| 62.14 | 18.4 |